No. 1
Starting from a crystal structure in Alexandria, relaxed with GGA-PBE, the X-ray diffraction stick pattern of U3WS6 was computed for Cu Kα (λ = 1.5418 Å).
Lines closer than 0.1° are merged.

```
U3WS6
1.0
5.7356 3.3114 3.7151
-5.7356 3.3114 3.7151
0.0000 -6.6229 3.7151
U W S
6 2 12
direct
0.1186 0.6339 0.2932
0.2932 0.1186 0.6339
0.3661 0.7068 0.8814
0.6339 0.2932 0.1186
0.7068 0.8814 0.3661
0.8814 0.3661 0.7068
0.0000 0.0000 0.0000
0.5000 0.5000 0.5000
0.0167 0.6819 0.9315
0.0685 0.9833 0.3181
0.1912 0.4335 0.5691
0.3181 0.0685 0.9833
0.4309 0.8088 0.5665
0.4335 0.5691 0.1912
0.5665 0.4309 0.8088
0.5691 0.1912 0.4335
0.6819 0.9315 0.0167
0.8088 0.5665 0.4309
0.9315 0.0167 0.6819
0.9833 0.3181 0.0685
```

Top 12 peaks for 2θ = 5–70°, in order of rising 2θ:
18.25°, I = 24.9; 23.95°, I = 40.1; 25.03°, I = 100.0; 26.92°, I = 18.1; 28.66°, I = 92.8; 33.50°, I = 29.7; 36.37°, I = 44.3; 40.31°, I = 62.3; 41.66°, I = 34.2; 46.36°, I = 21.2; 51.36°, I = 26.1; 53.95°, I = 19.5



No. 2
Starting from a crystal structure in Alexandria, relaxed with GGA-PBE, the X-ray diffraction stick pattern of Ti6SiN was computed for Cu Kα (λ = 1.5418 Å).
Lines closer than 0.1° are merged.

```
Ti6SiN
1.0
5.3267 0.0000 0.0000
2.6542 4.6311 0.0000
2.6286 1.5518 5.1606
Ti Si N
6 1 1
direct
0.0355 0.4106 0.2708
0.2172 0.9669 0.7294
0.4101 0.7820 0.2726
0.5899 0.2180 0.7274
0.7828 0.0331 0.2706
0.9645 0.5894 0.7292
0.5000 0.5000 0.0000
0.0000 0.0000 0.5000
```

Top 12 peaks for 2θ = 5–70°, in order of rising 2θ:
30.07°, I = 12.7; 33.55°, I = 17.1; 34.77°, I = 53.1; 37.90°, I = 100.0; 37.98°, I = 93.5; 38.12°, I = 26.2; 48.97°, I = 21.6; 49.08°, I = 20.9; 49.33°, I = 17.6; 60.06°, I = 11.8; 60.17°, I = 11.7; 64.52°, I = 14.8



No. 3
Starting from a crystal structure in Alexandria, relaxed with GGA-PBE, the X-ray diffraction stick pattern of ZrHg2Te was computed for Cu Kα (λ = 1.5418 Å).
Lines closer than 0.1° are merged.

```
ZrHg2Te
1.0
3.7325 0.0000 0.0000
0.0000 3.7525 0.0000
0.0000 0.0000 6.8667
Zr Hg Te
1 2 1
direct
0.0000 0.0000 0.0000
0.0000 0.0000 0.4999
0.5000 0.5000 0.2597
0.5000 0.5000 0.7976
```

Top 12 peaks for 2θ = 5–70°, in order of rising 2θ:
12.89°, I = 8.7; 27.08°, I = 6.4; 27.19°, I = 6.4; 33.87°, I = 59.6; 35.48°, I = 100.0; 48.52°, I = 10.9; 48.80°, I = 10.7; 52.89°, I = 3.9; 53.37°, I = 6.7; 61.56°, I = 20.4; 61.74°, I = 20.2; 64.73°, I = 15.1



No. 4
Starting from a crystal structure in Alexandria, relaxed with GGA-PBE, the X-ray diffraction stick pattern of ThAl4Sb was computed for Cu Kα (λ = 1.5418 Å).
Lines closer than 0.1° are merged.

```
ThAl4Sb
1.0
0.0000 3.9797 3.9797
3.9797 0.0000 3.9797
3.9797 3.9797 0.0000
Th Al Sb
1 4 1
direct
0.0000 0.0000 0.0000
0.3749 0.3749 0.3749
0.3749 0.3749 0.8752
0.3749 0.8752 0.3749
0.8752 0.3749 0.3749
0.7500 0.7500 0.7500
```

Top 12 peaks for 2θ = 5–70°, in order of rising 2θ:
19.32°, I = 73.5; 22.34°, I = 9.8; 31.80°, I = 98.0; 37.48°, I = 100.0; 39.21°, I = 7.0; 45.59°, I = 8.7; 49.95°, I = 19.8; 51.34°, I = 4.9; 56.65°, I = 38.6; 60.44°, I = 33.5; 66.45°, I = 20.5; 69.92°, I = 14.8